1.
Diffraction record for LaHo3Tm8. The PXRD pattern is calculated, not measured: it uses the PBE geometry in Alexandria and λ = 1.5418 Å (Cu Kα).
Kinematic intensities with the Lorentz-polarization factor, no thermal factor.

The 8 most intense peaks (15° ≤ 2θ ≤ 90°), by angle:
- 2θ = 28.69°, rel. 24
- 2θ = 32.04°, rel. 24
- 2θ = 32.95°, rel. 100
- 2θ = 43.53°, rel. 16
- 2θ = 50.82°, rel. 20
- 2θ = 57.69°, rel. 20
- 2θ = 61.35°, rel. 23
- 2θ = 61.90°, rel. 16

Structure:
```
LaHo3Tm8
1.0
-5.3914 5.5872 3.1114
5.3914 -5.5872 3.1114
5.3914 5.5872 -3.1114
La Ho Tm
1 3 8
direct
0.0000 0.0000 0.0000
0.0846 0.3362 0.7484
0.5019 0.0019 0.5000
0.5877 0.3362 0.2516
0.0023 0.3373 0.3351
0.0023 0.6672 0.6649
0.0874 0.0017 0.4200
0.0874 0.6673 0.0856
0.5030 0.3341 0.8310
0.5030 0.6720 0.1690
0.5817 0.0017 0.9144
0.5817 0.6673 0.5800
```

=====

2.
Diffraction record for LaHo2Tm8. The PXRD pattern is calculated, not measured: it uses the PBE geometry in Alexandria and λ = 1.5418 Å (Cu Kα).
Kinematic intensities with the Lorentz-polarization factor, no thermal factor.

The 8 most intense peaks (15° ≤ 2θ ≤ 90°), by angle:
- 2θ = 30.02°, rel. 24
- 2θ = 32.46°, rel. 100
- 2θ = 32.66°, rel. 14
- 2θ = 33.11°, rel. 33
- 2θ = 33.84°, rel. 28
- 2θ = 48.07°, rel. 21
- 2θ = 58.73°, rel. 19
- 2θ = 63.75°, rel. 11

Structure:
```
LaHo2Tm8
1.0
-2.7058 4.0262 7.9510
2.7058 -4.0262 7.9510
2.7058 4.0262 -7.9510
La Ho Tm
1 2 8
direct
0.0000 0.0000 0.0000
0.3010 0.3010 0.0000
0.6990 0.6990 0.0000
0.1510 0.8577 0.2933
0.1635 0.6635 0.5000
0.2960 0.5000 0.7960
0.4356 0.1423 0.2933
0.5644 0.8577 0.7067
0.7040 0.5000 0.2040
0.8365 0.3365 0.5000
0.8490 0.1423 0.7067
```

=====

3.
Diffraction record for La5Ho2Tm2. The PXRD pattern is calculated, not measured: it uses the PBE geometry in Alexandria and λ = 1.5418 Å (Cu Kα).
Kinematic intensities with the Lorentz-polarization factor, no thermal factor.

The 8 most intense peaks (15° ≤ 2θ ≤ 90°), by angle:
- 2θ = 30.10°, rel. 100
- 2θ = 34.84°, rel. 34
- 2θ = 34.98°, rel. 17
- 2θ = 50.17°, rel. 24
- 2θ = 59.50°, rel. 14
- 2θ = 59.62°, rel. 14
- 2θ = 59.72°, rel. 11
- 2θ = 81.55°, rel. 7

Structure:
```
La5Ho2Tm2
1.0
6.3019 0.0000 0.0000
1.0457 6.2218 0.0000
1.0513 1.9227 7.8065
La Ho Tm
5 2 2
direct
0.0000 0.0000 0.0000
0.2220 0.1123 0.5551
0.3360 0.6656 0.3289
0.6640 0.3344 0.6711
0.7780 0.8877 0.4449
0.1116 0.5584 0.7837
0.8884 0.4416 0.2163
0.4419 0.2271 0.1084
0.5581 0.7729 0.8916
```

=====

4.
Diffraction record for La8HoTm5. The PXRD pattern is calculated, not measured: it uses the PBE geometry in Alexandria and λ = 1.5418 Å (Cu Kα).
Kinematic intensities with the Lorentz-polarization factor, no thermal factor.

The 8 most intense peaks (15° ≤ 2θ ≤ 90°), by angle:
- 2θ = 25.65°, rel. 28
- 2θ = 29.59°, rel. 49
- 2θ = 30.71°, rel. 40
- 2θ = 31.41°, rel. 100
- 2θ = 31.81°, rel. 29
- 2θ = 32.27°, rel. 63
- 2θ = 34.24°, rel. 41
- 2θ = 49.89°, rel. 22

Structure:
```
La8HoTm5
1.0
8.6308 0.0000 0.0000
-1.3081 8.5425 0.0000
-3.7601 -4.1779 6.6061
La Ho Tm
8 1 5
direct
0.0000 0.0000 0.0000
0.0028 0.6809 0.5634
0.3956 0.4940 0.3199
0.4434 0.1197 0.5570
0.5592 0.5572 0.9911
0.6126 0.1879 0.2313
0.7433 0.9571 0.5098
0.8874 0.3471 0.0416
0.0111 0.8380 0.2807
0.1351 0.3403 0.5239
0.2276 0.1525 0.8151
0.2551 0.7245 0.0281
0.4868 0.8280 0.7725
0.7758 0.5274 0.7374
```

=====

5.
Diffraction record for La5Ho4Tm4. The PXRD pattern is calculated, not measured: it uses the PBE geometry in Alexandria and λ = 1.5418 Å (Cu Kα).
Kinematic intensities with the Lorentz-polarization factor, no thermal factor.

The 8 most intense peaks (15° ≤ 2θ ≤ 90°), by angle:
- 2θ = 30.39°, rel. 100
- 2θ = 35.24°, rel. 51
- 2θ = 50.69°, rel. 36
- 2θ = 60.22°, rel. 28
- 2θ = 60.34°, rel. 14
- 2θ = 63.24°, rel. 12
- 2θ = 82.59°, rel. 12
- 2θ = 85.13°, rel. 11

Structure:
```
La5Ho4Tm4
1.0
-6.4987 6.4987 2.5426
6.4987 -6.4987 2.5426
6.4987 6.4987 -2.5426
La Ho Tm
5 4 4
direct
0.0000 0.0000 0.0000
0.3047 0.4617 0.7664
0.4617 0.6953 0.1570
0.5383 0.3047 0.8430
0.6953 0.5383 0.2336
0.1556 0.2347 0.3904
0.2347 0.8444 0.0791
0.7653 0.1556 0.9209
0.8444 0.7653 0.6096
0.0748 0.6124 0.6872
0.3876 0.0748 0.4624
0.6124 0.9252 0.5376
0.9252 0.3876 0.3128
```

=====

6.
Diffraction record for La2Ho3Tm9. The PXRD pattern is calculated, not measured: it uses the PBE geometry in Alexandria and λ = 1.5418 Å (Cu Kα).
Kinematic intensities with the Lorentz-polarization factor, no thermal factor.

The 8 most intense peaks (15° ≤ 2θ ≤ 90°), by angle:
- 2θ = 31.24°, rel. 62
- 2θ = 31.60°, rel. 100
- 2θ = 31.74°, rel. 35
- 2θ = 32.22°, rel. 46
- 2θ = 32.33°, rel. 74
- 2θ = 33.03°, rel. 71
- 2θ = 34.29°, rel. 39
- 2θ = 34.72°, rel. 56

Structure:
```
La2Ho3Tm9
1.0
6.1441 0.0000 0.0000
1.7981 8.4808 0.0000
0.5209 1.6535 8.5901
La Ho Tm
2 3 9
direct
0.0394 0.2924 0.0269
0.9606 0.7076 0.9731
0.2424 0.7260 0.6169
0.5000 0.0000 0.0000
0.7576 0.2740 0.3831
0.0120 0.0845 0.7414
0.1551 0.5063 0.3374
0.3161 0.1033 0.3813
0.4118 0.3054 0.6834
0.5000 0.5000 0.0000
0.5882 0.6946 0.3166
0.6839 0.8967 0.6187
0.8449 0.4937 0.6626
0.9880 0.9155 0.2586
```

=====

7.
Diffraction record for La8Ho5Tm. The PXRD pattern is calculated, not measured: it uses the PBE geometry in Alexandria and λ = 1.5418 Å (Cu Kα).
Kinematic intensities with the Lorentz-polarization factor, no thermal factor.

The 8 most intense peaks (15° ≤ 2θ ≤ 90°), by angle:
- 2θ = 25.57°, rel. 27
- 2θ = 29.56°, rel. 49
- 2θ = 30.57°, rel. 40
- 2θ = 31.33°, rel. 100
- 2θ = 31.73°, rel. 29
- 2θ = 32.16°, rel. 64
- 2θ = 34.17°, rel. 40
- 2θ = 49.78°, rel. 24

Structure:
```
La8Ho5Tm
1.0
8.6622 0.0000 0.0000
-1.3175 8.5622 0.0000
-3.7572 -4.2068 6.6217
La Ho Tm
8 5 1
direct
0.0000 0.0000 0.0000
0.0014 0.6783 0.5619
0.3928 0.4915 0.3203
0.4380 0.1147 0.5520
0.5544 0.5540 0.9899
0.6091 0.1858 0.2310
0.7429 0.9561 0.5115
0.8827 0.3456 0.0400
0.1289 0.3363 0.5211
0.2244 0.1511 0.8142
0.2527 0.7216 0.0305
0.4895 0.8281 0.7750
0.7745 0.5243 0.7373
0.0005 0.8379 0.2763
```

=====

8.
Diffraction record for La2Ho5Tm. The PXRD pattern is calculated, not measured: it uses the PBE geometry in Alexandria and λ = 1.5418 Å (Cu Kα).
Kinematic intensities with the Lorentz-polarization factor, no thermal factor.

The 8 most intense peaks (15° ≤ 2θ ≤ 90°), by angle:
- 2θ = 30.59°, rel. 100
- 2θ = 35.47°, rel. 51
- 2θ = 51.04°, rel. 36
- 2θ = 60.66°, rel. 29
- 2θ = 60.72°, rel. 14
- 2θ = 63.69°, rel. 12
- 2θ = 83.20°, rel. 18
- 2θ = 85.91°, rel. 11

Structure:
```
La2Ho5Tm
1.0
7.1526 0.0000 0.0000
0.0000 14.3090 0.0000
0.0000 0.0000 5.0681
La Ho Tm
4 10 2
direct
0.2481 0.1248 0.0000
0.2519 0.6248 0.0000
0.7481 0.3752 0.0000
0.7519 0.8752 0.0000
0.0000 0.5000 0.5000
0.0025 0.7502 0.5000
0.2477 0.3748 0.0000
0.2523 0.8748 0.0000
0.4975 0.2502 0.5000
0.5000 0.0000 0.5000
0.5025 0.7498 0.5000
0.7477 0.1252 0.0000
0.7523 0.6252 0.0000
0.9975 0.2498 0.5000
0.0000 0.0000 0.5000
0.5000 0.5000 0.5000
```

=====

9.
Diffraction record for La8HoTm4. The PXRD pattern is calculated, not measured: it uses the PBE geometry in Alexandria and λ = 1.5418 Å (Cu Kα).
Kinematic intensities with the Lorentz-polarization factor, no thermal factor.

The 8 most intense peaks (15° ≤ 2θ ≤ 90°), by angle:
- 2θ = 26.49°, rel. 24
- 2θ = 28.88°, rel. 16
- 2θ = 31.11°, rel. 100
- 2θ = 32.38°, rel. 32
- 2θ = 37.44°, rel. 39
- 2θ = 50.89°, rel. 29
- 2θ = 58.27°, rel. 15
- 2θ = 60.85°, rel. 14

Structure:
```
La8HoTm4
1.0
3.5888 2.0720 10.0952
-3.5888 2.0720 10.0952
0.0000 -4.1440 10.0952
La Ho Tm
8 1 4
direct
0.2096 0.2096 0.2096
0.2116 0.7524 0.7524
0.2476 0.2476 0.7884
0.2476 0.7884 0.2476
0.7524 0.2116 0.7524
0.7524 0.7524 0.2116
0.7884 0.2476 0.2476
0.7904 0.7904 0.7904
0.5000 0.5000 0.5000
0.0000 0.0000 0.0000
0.0000 0.5000 0.5000
0.5000 0.0000 0.5000
0.5000 0.5000 0.0000
```

=====

10.
Diffraction record for LaHoTm5. The PXRD pattern is calculated, not measured: it uses the PBE geometry in Alexandria and λ = 1.5418 Å (Cu Kα).
Kinematic intensities with the Lorentz-polarization factor, no thermal factor.

The 8 most intense peaks (15° ≤ 2θ ≤ 90°), by angle:
- 2θ = 24.74°, rel. 15
- 2θ = 31.38°, rel. 27
- 2θ = 31.49°, rel. 26
- 2θ = 33.40°, rel. 15
- 2θ = 33.85°, rel. 100
- 2θ = 45.06°, rel. 14
- 2θ = 57.46°, rel. 13
- 2θ = 62.03°, rel. 19

Structure:
```
LaHoTm5
1.0
-3.5175 5.7006 5.6812
3.5175 -5.7006 5.6812
3.5175 5.7006 -5.6812
La Ho Tm
2 2 10
direct
0.5000 0.0000 0.0000
0.5000 0.5000 0.5000
0.2091 0.4591 0.7500
0.7909 0.5409 0.2500
0.0000 0.2500 0.2500
0.0000 0.7500 0.7500
0.2100 0.9600 0.2500
0.2130 0.2498 0.9632
0.2134 0.7502 0.4632
0.5000 0.2500 0.7500
0.5000 0.7500 0.2500
0.7866 0.2498 0.5368
0.7870 0.7502 0.0368
0.7900 0.0400 0.7500
```

=====

11.
Diffraction record for La4Ho8Tm. The PXRD pattern is calculated, not measured: it uses the PBE geometry in Alexandria and λ = 1.5418 Å (Cu Kα).
Kinematic intensities with the Lorentz-polarization factor, no thermal factor.

The 8 most intense peaks (15° ≤ 2θ ≤ 90°), by angle:
- 2θ = 19.73°, rel. 17
- 2θ = 22.82°, rel. 20
- 2θ = 32.44°, rel. 100
- 2θ = 32.55°, rel. 99
- 2θ = 46.62°, rel. 36
- 2θ = 57.92°, rel. 55
- 2θ = 58.15°, rel. 18
- 2θ = 77.37°, rel. 15

Structure:
```
La4Ho8Tm
1.0
5.5195 3.1867 4.4843
-5.5195 3.1867 4.4843
0.0000 -6.3733 4.4843
La Ho Tm
4 8 1
direct
0.0000 0.0000 0.0000
0.0000 0.5000 0.5000
0.5000 0.0000 0.5000
0.5000 0.5000 0.0000
0.2393 0.2393 0.7587
0.2393 0.7587 0.2393
0.2398 0.2398 0.2398
0.2413 0.7607 0.7607
0.7587 0.2393 0.2393
0.7602 0.7602 0.7602
0.7607 0.2413 0.7607
0.7607 0.7607 0.2413
0.5000 0.5000 0.5000
```

=====

12.
Diffraction record for LaHo8Tm3. The PXRD pattern is calculated, not measured: it uses the PBE geometry in Alexandria and λ = 1.5418 Å (Cu Kα).
Kinematic intensities with the Lorentz-polarization factor, no thermal factor.

The 8 most intense peaks (15° ≤ 2θ ≤ 90°), by angle:
- 2θ = 28.56°, rel. 24
- 2θ = 31.86°, rel. 24
- 2θ = 32.79°, rel. 100
- 2θ = 43.31°, rel. 16
- 2θ = 50.58°, rel. 20
- 2θ = 57.35°, rel. 20
- 2θ = 61.03°, rel. 23
- 2θ = 61.60°, rel. 16

Structure:
```
LaHo8Tm3
1.0
-5.4170 5.6184 3.1237
5.4170 -5.6184 3.1237
5.4170 5.6184 -3.1237
La Ho Tm
1 8 3
direct
0.0000 0.0000 0.0000
0.4182 0.3317 0.4200
0.4182 0.9982 0.0865
0.4967 0.3280 0.8312
0.4967 0.6655 0.1688
0.9117 0.3317 0.9135
0.9117 0.9982 0.5800
0.9985 0.3343 0.3358
0.9985 0.6627 0.6642
0.4129 0.6647 0.7482
0.4966 0.9966 0.5000
0.9164 0.6647 0.2518
```

=====

13.
Diffraction record for LaHo10Tm4. The PXRD pattern is calculated, not measured: it uses the PBE geometry in Alexandria and λ = 1.5418 Å (Cu Kα).
Kinematic intensities with the Lorentz-polarization factor, no thermal factor.

The 8 most intense peaks (15° ≤ 2θ ≤ 90°), by angle:
- 2θ = 28.77°, rel. 33
- 2θ = 29.12°, rel. 55
- 2θ = 29.80°, rel. 31
- 2θ = 31.45°, rel. 100
- 2θ = 35.43°, rel. 87
- 2θ = 36.00°, rel. 38
- 2θ = 42.15°, rel. 30
- 2θ = 45.79°, rel. 34

Structure:
```
LaHo10Tm4
1.0
-6.3596 6.3596 3.2625
6.3596 -6.3596 3.2625
6.3596 6.3596 -3.2625
La Ho Tm
1 10 4
direct
0.0000 0.0000 0.0000
0.0408 0.8795 0.4175
0.1205 0.5380 0.1613
0.2500 0.7500 0.5000
0.3767 0.9592 0.8387
0.4620 0.6233 0.5825
0.5380 0.3767 0.4175
0.6233 0.0408 0.1613
0.7500 0.2500 0.5000
0.8795 0.4620 0.8387
0.9592 0.1205 0.5825
0.3235 0.5675 0.8910
0.4325 0.3235 0.7560
0.5675 0.6765 0.2440
0.6765 0.4325 0.1090
```